Theoretical X-ray diffraction stick pattern
Compound: Nd2Dy3Tl4
Radiation: λ = 1.5418 Å (Cu Kα)
Structure: a cell relaxed with GGA-PBE

Cell and atoms:
a = 5.3273 Å, b = 5.3273 Å, c = 10.7370 Å
α = 90.00°, β = 90.00°, γ = 120.00°
Atoms (fractional coordinates):
Nd: 0.3333 0.6667 0.2777
Nd: 0.6667 0.3333 0.7223
Dy: 0.0000 0.0000 0.5000
Dy: 0.3333 0.6667 0.9258
Dy: 0.6667 0.3333 0.0742
Tl: 0.0000 0.0000 0.1502
Tl: 0.0000 0.0000 0.8498
Tl: 0.3333 0.6667 0.6023
Tl: 0.6667 0.3333 0.3977

Largest 8 diffraction maxima, in order of rising 2θ, 2θ from 15° to 90°:
- 31.64 deg, rel. 1000, hkl 0 1 3
- 33.65 deg, rel. 896, hkl 1 1 0
- 46.86 deg, rel. 341, hkl 2 0 3
- 55.04 deg, rel. 187, hkl 1 0 6
- 58.92 deg, rel. 346, hkl 1 2 3
- 60.17 deg, rel. 171, hkl 3 0 0
- 76.24 deg, rel. 147, hkl 2 1 6
- 79.56 deg, rel. 147, hkl 3 1 3

=====

Theoretical X-ray diffraction stick pattern
Compound: Nd5DyTl2
Radiation: λ = 1.5418 Å (Cu Kα)
Structure: a cell relaxed with GGA-PBE

Cell and atoms:
a = 5.5767 Å, b = 5.5767 Å, c = 20.4137 Å
α = 90.00°, β = 90.00°, γ = 120.00°
Atoms (fractional coordinates):
Nd: 0.0000 0.0000 0.1616
Nd: 0.0000 0.0000 0.3384
Nd: 0.0000 0.0000 0.6616
Nd: 0.0000 0.0000 0.8384
Nd: 0.3333 0.6667 0.0616
Nd: 0.3333 0.6667 0.2500
Nd: 0.3333 0.6667 0.4384
Nd: 0.6667 0.3333 0.5616
Nd: 0.6667 0.3333 0.7500
Nd: 0.6667 0.3333 0.9384
Dy: 0.3333 0.6667 0.7500
Dy: 0.6667 0.3333 0.2500
Tl: 0.3333 0.6667 0.5967
Tl: 0.3333 0.6667 0.9033
Tl: 0.6667 0.3333 0.0967
Tl: 0.6667 0.3333 0.4033

Largest 8 diffraction maxima, in order of rising 2θ, 2θ from 15° to 90°:
- 26.19 deg, rel. 68, hkl 0 0 6
- 32.13 deg, rel. 1000, hkl 1 1 0
- 35.98 deg, rel. 102, hkl 1 0 7
- 41.89 deg, rel. 119, hkl 1 1 6
- 46.09 deg, rel. 140, hkl 2 0 6
- 57.25 deg, rel. 269, hkl 3 0 0
- 67.14 deg, rel. 77, hkl 2 2 0
- 76.42 deg, rel. 63, hkl 3 1 6

=====

Theoretical X-ray diffraction stick pattern
Compound: Nd4DyTl4
Radiation: λ = 1.5418 Å (Cu Kα)
Structure: a cell relaxed with GGA-PBE

Cell and atoms:
a = 9.3719 Å, b = 9.3719 Å, c = 6.2772 Å
α = 90.00°, β = 90.00°, γ = 90.00°
Atoms (fractional coordinates):
Nd: 0.0805 0.8246 0.1189
Nd: 0.1754 0.5805 0.6189
Nd: 0.3246 0.9195 0.6189
Nd: 0.4195 0.6754 0.1189
Nd: 0.5805 0.3246 0.8811
Nd: 0.6754 0.0805 0.3811
Nd: 0.8246 0.4195 0.3811
Nd: 0.9195 0.1754 0.8811
Dy: 0.2500 0.2500 0.7500
Dy: 0.7500 0.7500 0.2500
Tl: 0.0461 0.1504 0.3715
Tl: 0.1504 0.4539 0.1285
Tl: 0.3496 0.0461 0.1285
Tl: 0.4539 0.3496 0.3715
Tl: 0.5461 0.6504 0.6285
Tl: 0.6504 0.9539 0.8715
Tl: 0.8496 0.5461 0.8715
Tl: 0.9539 0.8496 0.6285

Largest 8 diffraction maxima, in order of rising 2θ, 2θ from 15° to 90°:
- 30.03 deg, rel. 612, hkl 1 0 2
- 30.15 deg, rel. 1000, hkl 3 1 0
- 30.51 deg, rel. 531, hkl 2 2 1
- 32.00 deg, rel. 682, hkl 3 0 1
- 33.44 deg, rel. 315, hkl 1 3 1
- 35.74 deg, rel. 987, hkl 2 1 2
- 37.45 deg, rel. 553, hkl 2 3 1
- 57.25 deg, rel. 270, hkl 5 0 2

=====

Theoretical X-ray diffraction stick pattern
Compound: NdDy12Tl3
Radiation: λ = 1.5418 Å (Cu Kα)
Structure: a cell relaxed with GGA-PBE

Cell and atoms:
a = 4.8647 Å, b = 4.8647 Å, c = 19.9409 Å
α = 90.00°, β = 90.00°, γ = 90.00°
Atoms (fractional coordinates):
Nd: 0.0000 0.0000 0.0000
Dy: 0.0000 0.5000 0.1318
Dy: 0.0000 0.5000 0.3775
Dy: 0.0000 0.5000 0.6225
Dy: 0.0000 0.5000 0.8682
Dy: 0.5000 0.0000 0.1318
Dy: 0.5000 0.0000 0.3775
Dy: 0.5000 0.0000 0.6225
Dy: 0.5000 0.0000 0.8682
Dy: 0.5000 0.5000 0.0000
Dy: 0.5000 0.5000 0.2561
Dy: 0.5000 0.5000 0.5000
Dy: 0.5000 0.5000 0.7439
Tl: 0.0000 0.0000 0.2574
Tl: 0.0000 0.0000 0.5000
Tl: 0.0000 0.0000 0.7426

Largest 8 diffraction maxima, in order of rising 2θ, 2θ from 15° to 90°:
- 31.60 deg, rel. 1000, hkl 1 1 4
- 36.03 deg, rel. 168, hkl 0 0 8
- 36.96 deg, rel. 335, hkl 2 0 0
- 52.57 deg, rel. 230, hkl 2 0 8
- 53.26 deg, rel. 118, hkl 2 2 0
- 62.02 deg, rel. 129, hkl 1 1 12
- 63.26 deg, rel. 277, hkl 3 1 4
- 65.99 deg, rel. 116, hkl 2 2 8

=====

Repeat the fourth record exactly.
Theoretical X-ray diffraction stick pattern
Compound: NdDy12Tl3
Radiation: λ = 1.5418 Å (Cu Kα)
Structure: a cell relaxed with GGA-PBE

Cell and atoms:
a = 4.8647 Å, b = 4.8647 Å, c = 19.9409 Å
α = 90.00°, β = 90.00°, γ = 90.00°
Atoms (fractional coordinates):
Nd: 0.0000 0.0000 0.0000
Dy: 0.0000 0.5000 0.1318
Dy: 0.0000 0.5000 0.3775
Dy: 0.0000 0.5000 0.6225
Dy: 0.0000 0.5000 0.8682
Dy: 0.5000 0.0000 0.1318
Dy: 0.5000 0.0000 0.3775
Dy: 0.5000 0.0000 0.6225
Dy: 0.5000 0.0000 0.8682
Dy: 0.5000 0.5000 0.0000
Dy: 0.5000 0.5000 0.2561
Dy: 0.5000 0.5000 0.5000
Dy: 0.5000 0.5000 0.7439
Tl: 0.0000 0.0000 0.2574
Tl: 0.0000 0.0000 0.5000
Tl: 0.0000 0.0000 0.7426

Largest 8 diffraction maxima, in order of rising 2θ, 2θ from 15° to 90°:
- 31.60 deg, rel. 1000, hkl 1 1 4
- 36.03 deg, rel. 168, hkl 0 0 8
- 36.96 deg, rel. 335, hkl 2 0 0
- 52.57 deg, rel. 230, hkl 2 0 8
- 53.26 deg, rel. 118, hkl 2 2 0
- 62.02 deg, rel. 129, hkl 1 1 12
- 63.26 deg, rel. 277, hkl 3 1 4
- 65.99 deg, rel. 116, hkl 2 2 8